For Hf4Nb2Fe3N3, a PBE-relaxed structure gives the calculated powder X-ray diffraction pattern in this record (Cu Kα).
Peak positions follow from Bragg's law for the DFT cell and can differ from measured ones.

Structural model:
```
data_Hf4Nb2Fe3N3
_chemical_formula_sum 'Hf8 Nb4 Fe6 N6'
_space_group_name_H-M_alt 'P 1'
_space_group_IT_number 1
_cell_length_a 5.337
_cell_length_b 5.337
_cell_length_c 13.962
_cell_angle_alpha 101.23
_cell_angle_beta 101.23
_cell_angle_gamma 59.65
loop_
_space_group_symop_operation_xyz
'x,y,z'
loop_
_atom_site_label
_atom_site_fract_x
_atom_site_fract_y
_atom_site_fract_z
Hf1 0.021 0.203 0.091
Hf2 0.140 0.306 0.408
Hf3 0.203 0.021 0.591
Hf4 0.306 0.140 0.908
Hf5 0.694 0.860 0.092
Hf6 0.797 0.979 0.409
Hf7 0.860 0.694 0.592
Hf8 0.979 0.797 0.909
Nb1 0.377 0.544 0.129
Nb2 0.456 0.623 0.371
Nb3 0.544 0.377 0.629
Nb4 0.623 0.456 0.871
Fe1 0.083 0.917 0.750
Fe2 0.086 0.414 0.749
Fe3 0.414 0.086 0.249
Fe4 0.586 0.914 0.751
Fe5 0.914 0.586 0.251
Fe6 0.917 0.083 0.250
N1 0.000 0.500 0.000
N2 0.176 0.661 0.500
N3 0.339 0.824 0.000
N4 0.500 0.000 0.500
N5 0.661 0.176 0.000
N6 0.824 0.339 0.500
```

Top 8 peaks for 2θ from 15° to 90°, in order of rising 2θ:
| 2theta | d_spacing | Rel. int. |
| --- | --- | --- |
| 26.2 | 3.401 | 46 |
| 33.6 | 2.668 | 39 |
| 34.2 | 2.619 | 76 |
| 34.4 | 2.605 | 39 |
| 39.1 | 2.303 | 95 |
| 39.2 | 2.297 | 95 |
| 39.3 | 2.291 | 100 |
| 39.8 | 2.268 | 49 |

For AlCdGaTeS3, a PBE-relaxed structure gives the calculated powder X-ray diffraction pattern in this record (Cu Kα).
Peak positions follow from Bragg's law for the DFT cell and can differ from measured ones.

Structural model:
```
data_AlCdGaTeS3
_chemical_formula_sum 'Al1 Cd1 Ga1 Te1 S3'
_space_group_name_H-M_alt 'P 1'
_space_group_IT_number 1
_cell_length_a 5.728
_cell_length_b 5.878
_cell_length_c 6.586
_cell_angle_alpha 113.52
_cell_angle_beta 113.77
_cell_angle_gamma 92.02
loop_
_space_group_symop_operation_xyz
'x,y,z'
loop_
_atom_site_label
_atom_site_fract_x
_atom_site_fract_y
_atom_site_fract_z
Al1 0.000 0.000 0.000
Cd1 0.519 0.478 0.996
Ga1 0.741 0.214 0.479
Te1 0.114 0.625 0.694
S1 0.372 0.322 0.251
S2 0.654 0.092 0.740
S3 0.890 0.894 0.252
```

Top 8 peaks for 2θ from 15° to 90°, in order of rising 2θ:
| 2theta | d_spacing | Rel. int. |
| --- | --- | --- |
| 17.7 | 5.009 | 88 |
| 26.9 | 3.318 | 87 |
| 27.1 | 3.289 | 87 |
| 27.2 | 3.277 | 100 |
| 28.2 | 3.160 | 48 |
| 29.7 | 3.008 | 58 |
| 43.4 | 2.087 | 41 |
| 46.9 | 1.939 | 40 |